# MgGeSe2
Computed powder diffractogram, Cu Kα (weighted mean of Kα1 and Kα2). Input: a crystal structure in Alexandria, relaxed with GGA-PBE.

Structure:
```
data_MgGeSe2
_cell_length_a 3.9556
_cell_length_b 3.9556
_cell_length_c 19.8305
_cell_angle_alpha 90.00
_cell_angle_beta 90.00
_cell_angle_gamma 120.00
_symmetry_space_group_name_H-M 'P 32 2 1'
_symmetry_Int_Tables_number 154
loop_
_symmetry_equiv_pos_as_xyz
'x,y,z'
'-y,x-y,z+2/3'
'-x+y,-x,z+1/3'
'y,x,-z'
'x-y,-y,-z+1/3'
'-x,-x+y,-z+2/3'
loop_
_atom_site_label
_atom_site_type_symbol
_atom_site_fract_x
_atom_site_fract_y
_atom_site_fract_z
_atom_site_occupancy
Mg1 Mg 0.0000 0.0028 0.3333 1
Ge1 Ge 0.0000 0.9948 0.8333 1
Se1 Se 0.3304 0.6657 0.0794 1
```

Principal peaks in the range 10 to 90 degrees two-theta, sorted by position:
hkl	2θ/deg	I/Imax
1 0 3	29.37	100
0 1 6	37.82	75
1 1 0	45.88	44
0 1 9	49.17	20
0 2 3	55.41	16
2 0 6	60.92	18
1 1 12	74.88	19
1 2 6	79.51	16

---

# Mg4GeSe6
Computed powder diffractogram, Cu Kα (weighted mean of Kα1 and Kα2). Input: a crystal structure in Alexandria, relaxed with GGA-PBE.

Structure:
```
data_Mg4GeSe6
_cell_length_a 12.914
_cell_length_b 7.325
_cell_length_c 12.925
_cell_angle_alpha 90.00
_cell_angle_beta 110.01
_cell_angle_gamma 90.00
_symmetry_space_group_name_H-M 'C 1 c 1'
_symmetry_Int_Tables_number 9
loop_
_symmetry_equiv_pos_as_xyz
'x,y,z'
'x,-y,z+1/2'
'x+1/2,y+1/2,z'
'x+1/2,-y+1/2,z+1/2'
loop_
_atom_site_label
_atom_site_type_symbol
_atom_site_fract_x
_atom_site_fract_y
_atom_site_fract_z
_atom_site_occupancy
Mg1 Mg 0.000 0.091 0.000 1
Mg2 Mg 0.154 0.385 0.498 1
Mg3 Mg 0.172 0.111 0.806 1
Mg4 Mg 0.364 0.172 0.147 1
Ge1 Ge 0.428 0.282 0.749 1
Se1 Se 0.046 0.220 0.610 1
Se2 Se 0.122 0.238 0.303 1
Se3 Se 0.176 0.261 0.992 1
Se4 Se 0.353 0.219 0.557 1
Se5 Se 0.361 0.446 0.296 1
Se6 Se 0.375 0.020 0.826 1
```

Principal peaks in the range 10 to 90 degrees two-theta, sorted by position:
hkl	2θ/deg	I/Imax
2 0 2	23.98	100
4 0 -2	28.04	62
1 1 3	28.28	57
0 2 2	28.46	49
0 0 4	29.43	74
2 2 -2	29.66	59
1 3 -3	42.56	30
6 2 -2	49.08	69

---

# Sm4Mg7Ge6
Computed powder diffractogram, Cu Kα (weighted mean of Kα1 and Kα2). Input: a crystal structure in Alexandria, relaxed with GGA-PBE.

Structure:
```
data_Sm4Mg7Ge6
_cell_length_a 16.552
_cell_length_b 4.418
_cell_length_c 12.466
_cell_angle_alpha 90.00
_cell_angle_beta 122.37
_cell_angle_gamma 90.00
_symmetry_space_group_name_H-M 'C 1 2/m 1'
_symmetry_Int_Tables_number 12
loop_
_symmetry_equiv_pos_as_xyz
'x,y,z'
'-x,-y,-z'
'-x,y,-z'
'x,-y,z'
'x+1/2,y+1/2,z'
'-x+1/2,-y+1/2,-z'
'-x+1/2,y+1/2,-z'
'x+1/2,-y+1/2,z'
loop_
_atom_site_label
_atom_site_type_symbol
_atom_site_fract_x
_atom_site_fract_y
_atom_site_fract_z
_atom_site_occupancy
Sm1 Sm 0.129 0.000 0.339 1
Sm2 Sm 0.233 0.000 0.114 1
Mg1 Mg 0.000 0.000 0.000 1
Mg2 Mg 0.041 0.500 0.639 1
Mg3 Mg 0.064 0.500 0.897 1
Mg4 Mg 0.190 0.000 0.652 1
Ge1 Ge 0.112 0.000 0.814 1
Ge2 Ge 0.120 0.500 0.153 1
Ge3 Ge 0.150 0.500 0.521 1
```

Principal peaks in the range 10 to 90 degrees two-theta, sorted by position:
hkl	2θ/deg	I/Imax
2 0 0	12.66	42
3 1 -2	26.70	37
3 1 -3	30.04	43
1 1 -3	30.41	69
5 1 -2	33.84	82
3 1 -4	35.26	59
3 1 2	37.84	100
0 2 0	40.86	60

---

# Sr2Mg5Ge4
Computed powder diffractogram, Cu Kα (weighted mean of Kα1 and Kα2). Input: a crystal structure in Alexandria, relaxed with GGA-PBE.

Structure:
```
data_Sr2Mg5Ge4
_cell_length_a 6.283
_cell_length_b 11.352
_cell_length_c 15.326
_cell_angle_alpha 90.00
_cell_angle_beta 90.00
_cell_angle_gamma 90.00
_symmetry_space_group_name_H-M 'F m m m'
_symmetry_Int_Tables_number 69
_symmetry_space_group_name_Hall '-F 2 2'
loop_
_atom_site_label
_atom_site_type_symbol
_atom_site_fract_x
_atom_site_fract_y
_atom_site_fract_z
_atom_site_occupancy
Sr1 Sr 0.000 0.000 0.149 1
Mg1 Mg 0.000 0.000 0.500 1
Mg2 Mg 0.250 0.250 0.000 1
Mg3 Mg 0.250 0.250 0.250 1
Ge1 Ge 0.000 0.122 0.357 1
```

Principal peaks in the range 10 to 90 degrees two-theta, sorted by position:
hkl	2θ/deg	I/Imax
0 0 4	23.22	35
0 2 4	28.12	73
2 0 0	28.41	41
2 2 0	32.58	36
1 3 3	32.72	100
2 0 4	37.01	62
1 5 3	46.07	43
1 3 7	50.29	25

---

# SrMgZn2Ge2
Computed powder diffractogram, Cu Kα (weighted mean of Kα1 and Kα2). Input: a crystal structure in Alexandria, relaxed with GGA-PBE.

Structure:
```
data_SrMgZn2Ge2
_cell_length_a 4.3753
_cell_length_b 4.3753
_cell_length_c 7.6509
_cell_angle_alpha 90.00
_cell_angle_beta 90.00
_cell_angle_gamma 120.00
_symmetry_space_group_name_H-M 'P -3 m 1'
_symmetry_Int_Tables_number 164
_symmetry_space_group_name_Hall '-P 3 2"'
loop_
_atom_site_label
_atom_site_type_symbol
_atom_site_fract_x
_atom_site_fract_y
_atom_site_fract_z
_atom_site_occupancy
Sr1 Sr 0.0000 0.0000 0.0000 1
Mg1 Mg 0.0000 0.0000 0.5000 1
Zn1 Zn 0.3333 0.6667 0.6789 1
Ge1 Ge 0.3333 0.6667 0.2710 1
```

Principal peaks in the range 10 to 90 degrees two-theta, sorted by position:
hkl	2θ/deg	I/Imax
0 1 1	26.25	35
0 1 2	33.28	100
0 0 3	35.19	17
1 1 0	41.27	79
2 0 2	54.01	24
1 1 3	55.33	27
0 1 5	65.82	14
1 2 2	70.17	22

---

# Tb4Mg5Ge6
Computed powder diffractogram, Cu Kα (weighted mean of Kα1 and Kα2). Input: a crystal structure in Alexandria, relaxed with GGA-PBE.

Structure:
```
data_Tb4Mg5Ge6
_cell_length_a 4.393
_cell_length_b 19.698
_cell_length_c 15.596
_cell_angle_alpha 90.00
_cell_angle_beta 90.00
_cell_angle_gamma 90.00
_symmetry_space_group_name_H-M 'C m c 21'
_symmetry_Int_Tables_number 36
loop_
_symmetry_equiv_pos_as_xyz
'x,y,z'
'-x,-y,z+1/2'
'-x,y,z'
'x,-y,z+1/2'
'x+1/2,y+1/2,z'
'-x+1/2,-y+1/2,z+1/2'
'-x+1/2,y+1/2,z'
'x+1/2,-y+1/2,z+1/2'
loop_
_atom_site_label
_atom_site_type_symbol
_atom_site_fract_x
_atom_site_fract_y
_atom_site_fract_z
_atom_site_occupancy
Tb1 Tb 0.000 0.011 0.000 1
Tb2 Tb 0.000 0.033 0.264 1
Tb3 Tb 0.000 0.163 0.798 1
Tb4 Tb 0.000 0.174 0.438 1
Mg1 Mg 0.000 0.156 0.120 1
Mg2 Mg 0.000 0.303 0.115 1
Mg3 Mg 0.000 0.338 0.766 1
Mg4 Mg 0.000 0.349 0.474 1
Mg5 Mg 0.000 0.442 0.168 1
Ge1 Ge 0.000 0.114 0.614 1
Ge2 Ge 0.000 0.229 0.970 1
Ge3 Ge 0.000 0.236 0.265 1
Ge4 Ge 0.000 0.428 0.624 1
Ge5 Ge 0.000 0.432 0.902 1
Ge6 Ge 0.000 0.444 0.347 1
```

Principal peaks in the range 10 to 90 degrees two-theta, sorted by position:
hkl	2θ/deg	I/Imax
0 0 2	11.35	30
1 1 0	20.71	32
0 4 4	29.21	28
1 5 0	30.48	36
1 1 4	31.01	100
1 5 3	35.13	100
2 0 0	41.09	51
0 10 3	49.47	30

---

# Tb5Mg2Ge4
Computed powder diffractogram, Cu Kα (weighted mean of Kα1 and Kα2). Input: a crystal structure in Alexandria, relaxed with GGA-PBE.

Structure:
```
data_Tb5Mg2Ge4
_cell_length_a 20.253
_cell_length_b 4.157
_cell_length_c 7.198
_cell_angle_alpha 90.00
_cell_angle_beta 110.66
_cell_angle_gamma 90.00
_symmetry_space_group_name_H-M 'C 1 2/m 1'
_symmetry_Int_Tables_number 12
loop_
_symmetry_equiv_pos_as_xyz
'x,y,z'
'-x,-y,-z'
'-x,y,-z'
'x,-y,z'
'x+1/2,y+1/2,z'
'-x+1/2,-y+1/2,-z'
'-x+1/2,y+1/2,-z'
'x+1/2,-y+1/2,z'
loop_
_atom_site_label
_atom_site_type_symbol
_atom_site_fract_x
_atom_site_fract_y
_atom_site_fract_z
_atom_site_occupancy
Tb1 Tb 0.000 0.000 0.000 1
Tb2 Tb 0.164 0.500 0.401 1
Tb3 Tb 0.164 0.500 0.928 1
Mg1 Mg 0.073 0.000 0.575 1
Ge1 Ge 0.000 0.500 0.300 1
Ge2 Ge 0.211 0.000 0.711 1
```

Principal peaks in the range 10 to 90 degrees two-theta, sorted by position:
hkl	2θ/deg	I/Imax
3 1 0	25.65	61
1 1 1	26.49	52
6 0 0	28.26	63
6 0 -2	31.21	33
3 1 -2	33.26	100
1 1 2	35.94	33
3 1 2	40.82	52
0 2 0	43.54	33

---

# Mg3GeTe4
Computed powder diffractogram, Cu Kα (weighted mean of Kα1 and Kα2). Input: a crystal structure in Alexandria, relaxed with GGA-PBE.

Structure:
```
data_Mg3GeTe4
_cell_length_a 6.583
_cell_length_b 6.583
_cell_length_c 13.140
_cell_angle_alpha 90.00
_cell_angle_beta 90.00
_cell_angle_gamma 90.00
_symmetry_space_group_name_H-M 'I -4 2 m'
_symmetry_Int_Tables_number 121
_symmetry_space_group_name_Hall 'I -4 2'
loop_
_atom_site_label
_atom_site_type_symbol
_atom_site_fract_x
_atom_site_fract_y
_atom_site_fract_z
_atom_site_occupancy
Mg1 Mg 0.000 0.000 0.000 1
Mg2 Mg 0.000 0.500 0.250 1
Ge1 Ge 0.000 0.000 0.500 1
Te1 Te 0.242 0.242 0.872 1
```

Principal peaks in the range 10 to 90 degrees two-theta, sorted by position:
hkl	2θ/deg	I/Imax
1 1 2	23.42	100
0 0 4	27.11	22
2 0 4	38.71	62
1 1 6	45.74	49
3 1 6	61.43	20
2 2 8	70.07	20
3 3 6	74.98	11
5 1 6	87.73	10

---

# MgGe2Te
Computed powder diffractogram, Cu Kα (weighted mean of Kα1 and Kα2). Input: a crystal structure in Alexandria, relaxed with GGA-PBE.

Structure:
```
data_MgGe2Te
_cell_length_a 6.317
_cell_length_b 6.317
_cell_length_c 12.410
_cell_angle_alpha 90.00
_cell_angle_beta 90.00
_cell_angle_gamma 90.00
_symmetry_space_group_name_H-M 'I -4 2 d'
_symmetry_Int_Tables_number 122
_symmetry_space_group_name_Hall 'I -4 2bw'
loop_
_atom_site_label
_atom_site_type_symbol
_atom_site_fract_x
_atom_site_fract_y
_atom_site_fract_z
_atom_site_occupancy
Mg1 Mg 0.000 0.000 0.000 1
Ge1 Ge 0.239 0.250 0.125 1
Te1 Te 0.000 0.000 0.500 1
```

Principal peaks in the range 10 to 90 degrees two-theta, sorted by position:
hkl	2θ/deg	I/Imax
1 0 1	15.74	25
1 1 2	24.56	100
2 2 0	40.38	26
2 0 4	40.77	51
3 1 2	47.83	32
1 1 6	48.50	17
3 1 6	64.90	14
4 2 4	73.69	17

---

# Mg8Tl2Ge
Computed powder diffractogram, Cu Kα (weighted mean of Kα1 and Kα2). Input: a crystal structure in Alexandria, relaxed with GGA-PBE.

Structure:
```
data_Mg8Tl2Ge
_cell_length_a 18.448
_cell_length_b 4.705
_cell_length_c 6.169
_cell_angle_alpha 90.00
_cell_angle_beta 106.13
_cell_angle_gamma 90.00
_symmetry_space_group_name_H-M 'C 1 2/m 1'
_symmetry_Int_Tables_number 12
loop_
_symmetry_equiv_pos_as_xyz
'x,y,z'
'-x,-y,-z'
'-x,y,-z'
'x,-y,z'
'x+1/2,y+1/2,z'
'-x+1/2,-y+1/2,-z'
'-x+1/2,y+1/2,-z'
'x+1/2,-y+1/2,z'
loop_
_atom_site_label
_atom_site_type_symbol
_atom_site_fract_x
_atom_site_fract_y
_atom_site_fract_z
_atom_site_occupancy
Mg1 Mg 0.022 0.000 0.263 1
Mg2 Mg 0.090 0.500 0.953 1
Mg3 Mg 0.148 0.500 0.494 1
Mg4 Mg 0.221 0.000 0.806 1
Tl1 Tl 0.180 0.000 0.234 1
Ge1 Ge 0.000 0.500 0.500 1
```

Principal peaks in the range 10 to 90 degrees two-theta, sorted by position:
hkl	2θ/deg	I/Imax
2 0 1	20.21	64
4 0 -1	21.45	63
1 1 -1	23.80	100
3 1 0	24.18	87
6 0 0	30.23	47
5 1 0	31.61	43
0 2 0	38.26	42
7 1 -1	39.56	60

---

# Tm7Mg3Ge8
Computed powder diffractogram, Cu Kα (weighted mean of Kα1 and Kα2). Input: a crystal structure in Alexandria, relaxed with GGA-PBE.

Structure:
```
data_Tm7Mg3Ge8
_cell_length_a 7.672
_cell_length_b 7.056
_cell_length_c 14.350
_cell_angle_alpha 90.00
_cell_angle_beta 90.02
_cell_angle_gamma 90.00
_symmetry_space_group_name_H-M 'P 1 21 1'
_symmetry_Int_Tables_number 4
loop_
_symmetry_equiv_pos_as_xyz
'x,y,z'
'-x,y+1/2,-z'
loop_
_atom_site_label
_atom_site_type_symbol
_atom_site_fract_x
_atom_site_fract_y
_atom_site_fract_z
_atom_site_occupancy
Tm1 Tm 0.066 0.000 0.153 1
Tm2 Tm 0.066 0.998 0.846 1
Tm3 Tm 0.074 0.323 0.626 1
Tm4 Tm 0.075 0.324 0.375 1
Tm5 Tm 0.429 0.660 0.879 1
Tm6 Tm 0.433 0.984 0.342 1
Tm7 Tm 0.434 0.987 0.659 1
Mg1 Mg 0.237 0.333 0.001 1
Mg2 Mg 0.268 0.654 0.500 1
Mg3 Mg 0.423 0.667 0.125 1
Ge1 Ge 0.108 0.703 0.000 1
Ge2 Ge 0.159 0.017 0.500 1
Ge3 Ge 0.216 0.665 0.715 1
Ge4 Ge 0.217 0.664 0.284 1
Ge5 Ge 0.285 0.321 0.212 1
Ge6 Ge 0.286 0.318 0.790 1
Ge7 Ge 0.345 0.965 0.999 1
Ge8 Ge 0.390 0.283 0.500 1
```

Principal peaks in the range 10 to 90 degrees two-theta, sorted by position:
hkl	2θ/deg	I/Imax
2 1 -3	32.50	83
1 2 3	33.66	100
2 0 4	34.22	39
2 1 -4	36.58	26
0 0 6	37.62	33
3 1 1	37.95	21
1 3 0	40.10	34
3 3 -4	59.25	32